LiGeMo2W: theoretical powder diffraction line list (λ = 1.5418 Å (Cu Kα)), based on a crystal structure in Alexandria, relaxed with GGA-PBE.

Principal peaks in the range 10 to 90 degrees two-theta, sorted by position:
(hkl), 2θ/deg, Rel. int.
1 0 0, 19.08, 100
1 0 1, 27.08, 15
1 1 1, 33.33, 71
0 0 2, 38.61, 26
2 0 0, 38.72, 52
2 1 0, 43.46, 48
2 1 1, 47.87, 7
2 2 0, 55.86, 53
2 1 2, 59.55, 18
1 1 3, 66.53, 9
3 1 1, 66.67, 19
2 2 2, 70.01, 18

Crystal structure
Lattice parameters (Å, degrees): 4.652 4.652 4.663 90.00 90.00 90.00
Element x y z (fractional)
Li 0.000 0.000 0.000
Ge 0.500 0.500 0.500
Mo 0.000 0.500 0.500
Mo 0.500 0.000 0.500
W 0.500 0.500 0.000